Entry 1:
KDy3F10: simulated powder diffractogram (λ = 1.5418 Å (Cu Kα)), based on a crystal structure in the Materials Project, relaxed with PBE.

Crystal structure
```
data_KDy3F10
_chemical_formula_sum 'K8 Dy24 F80'
_space_group_name_H-M_alt 'F m -3 m'
_space_group_IT_number 225
_space_group_name_Hall '-F 4 2 3'
_cell_length_a 11.653
_cell_length_b 11.653
_cell_length_c 11.653
_cell_angle_alpha 90.00
_cell_angle_beta 90.00
_cell_angle_gamma 90.00
loop_
_atom_site_label
_atom_site_fract_x
_atom_site_fract_y
_atom_site_fract_z
K1 0.250 0.250 0.250
Dy1 0.000 0.000 0.241
F1 0.000 0.165 0.335
F2 0.112 0.112 0.112
```

Top 6 peaks for 15° ≤ 2θ ≤ 90°, in order of falling intensity:
d 3.364, 2θ 26.50, intensity 100, hkl 2 2 2; d 1.757, 2θ 52.06, intensity 56, hkl 6 2 2; d 2.060, 2θ 43.95, intensity 49, hkl 4 4 0; d 2.913, 2θ 30.69, intensity 41, hkl 4 0 0; d 4.120, 2θ 21.57, intensity 21, hkl 2 2 0; d 5.827, 2θ 15.21, intensity 20, hkl 2 0 0

***

Entry 2:
Dy3SOF5: simulated powder diffractogram (λ = 1.5418 Å (Cu Kα)), based on a crystal structure in the Materials Project, relaxed with PBE.

Crystal structure
```
data_Dy3SOF5
_chemical_formula_sum 'Dy6 S2 O2 F10'
_space_group_name_H-M_alt 'P 1 m 1'
_space_group_IT_number 6
_cell_length_a 9.390
_cell_length_b 3.671
_cell_length_c 9.451
_cell_angle_alpha 90.00
_cell_angle_beta 119.55
_cell_angle_gamma 90.00
loop_
_space_group_symop_operation_xyz
'x,y,z'
'x,-y,z'
loop_
_atom_site_label
_atom_site_fract_x
_atom_site_fract_y
_atom_site_fract_z
Dy1 0.000 0.000 0.000
Dy2 0.106 0.500 0.689
Dy3 0.284 0.000 0.451
Dy4 0.405 0.500 0.183
Dy5 0.577 0.500 0.871
Dy6 0.834 0.000 0.315
S1 0.027 0.500 0.247
S2 0.372 0.000 0.918
O1 0.085 0.000 0.533
O2 0.265 0.000 0.198
F1 0.132 0.500 0.960
F2 0.323 0.500 0.633
F3 0.429 0.500 0.436
F4 0.542 0.000 0.706
F5 0.589 0.000 0.312
F6 0.657 0.500 0.153
F7 0.749 0.000 0.019
F8 0.823 0.500 0.871
F9 0.846 0.500 0.469
F10 0.976 0.000 0.748
```

Top 6 peaks for 15° ≤ 2θ ≤ 90°, in order of falling intensity:
d 3.100, 2θ 28.80, intensity 100, hkl 2 0 1; d 2.901, 2θ 30.83, intensity 55, hkl 1 1 -2; d 3.349, 2θ 26.62, intensity 48, hkl 1 1 0; d 3.072, 2θ 29.06, intensity 45, hkl 3 0 -2; d 1.779, 2θ 51.35, intensity 40, hkl 5 0 -1; d 2.728, 2θ 32.83, intensity 39, hkl 2 1 -2

***

Entry 3:
Dy3Se4O12F: simulated powder diffractogram (λ = 1.5418 Å (Cu Kα)), based on a crystal structure in the Materials Project, relaxed with PBE.

Crystal structure
```
data_Dy3Se4O12F
_chemical_formula_sum 'Dy6 Se8 O24 F2'
_space_group_name_H-M_alt 'P 63 m c'
_space_group_IT_number 186
_space_group_name_Hall 'P 6c -2c'
_cell_length_a 10.4630
_cell_length_b 10.4630
_cell_length_c 6.8862
_cell_angle_alpha 90.00
_cell_angle_beta 90.00
_cell_angle_gamma 120.00
loop_
_atom_site_label
_atom_site_fract_x
_atom_site_fract_y
_atom_site_fract_z
Dy1 0.0756 0.5378 0.0000
Se1 0.1550 0.3100 0.7669
Se2 0.3333 0.6667 0.4340
O1 0.0806 0.4169 0.6970
O2 0.1616 0.5808 0.3213
O3 0.1822 0.3645 0.0066
F1 0.3333 0.6667 0.9546
```

Top 6 peaks for 15° ≤ 2θ ≤ 90°, in order of falling intensity:
d 3.785, 2θ 23.50, intensity 100, hkl 2 0 1; d 3.067, 2θ 29.12, intensity 97, hkl 2 1 1; d 2.741, 2θ 32.67, intensity 93, hkl 2 0 2; d 2.616, 2θ 34.28, intensity 65, hkl 2 2 0; d 2.766, 2θ 32.37, intensity 65, hkl 3 0 1; d 1.990, 2θ 45.58, intensity 50, hkl 3 2 1